Starting from the PBE geometry in the Materials Project, the X-ray diffraction stick pattern of La4RuI5 was calculated for Cu Kα.
Intensities are scaled so that the largest is 100.

Atomic structure:
a = 10.1915 Å, b = 10.1915 Å, c = 9.4732 Å
α = 102.96°, β = 102.96°, γ = 25.02°
Positions (direct):
La 0.0007 0.0007 0.2851
La 0.3639 0.3639 0.4295
La 0.6361 0.6361 0.5705
La 0.9993 0.9993 0.7149
Ru 0.5000 0.5000 0.5000
I 0.1669 0.1669 0.8365
I 0.1725 0.1725 0.3328
I 0.5000 0.5000 0.0000
I 0.8275 0.8275 0.6672
I 0.8331 0.8331 0.1635

Main lines, sorted by position (15 to 90 degrees two-theta):
2θ (°), d/Å, intensity
27.6, 3.229, 100.0
38.0, 2.368, 13.5
39.3, 2.290, 20.9
39.6, 2.276, 20.1
40.9, 2.208, 13.0
50.1, 1.822, 10.9

***

Starting from the PBE geometry in the Materials Project, the X-ray diffraction stick pattern of LaSI was calculated for Cu Kα.
Intensities are scaled so that the largest is 100.

Atomic structure:
a = 7.1340 Å, b = 14.7308 Å, c = 7.3955 Å
α = 90.00°, β = 90.00°, γ = 90.00°
Positions (direct):
La 0.2427 0.0835 0.0297
La 0.2427 0.4165 0.5297
La 0.2573 0.5835 0.0297
La 0.2573 0.9165 0.5297
La 0.7427 0.0835 0.4703
La 0.7427 0.4165 0.9703
La 0.7573 0.5835 0.4703
La 0.7573 0.9165 0.9703
S 0.0007 0.0229 0.7428
S 0.0007 0.4771 0.2428
S 0.4993 0.5229 0.7428
S 0.4993 0.9771 0.2428
S 0.5007 0.0229 0.7572
S 0.5007 0.4771 0.2572
S 0.9993 0.5229 0.7572
S 0.9993 0.9771 0.2572
I 0.1830 0.6989 0.4064
I 0.1830 0.8011 0.9064
I 0.3170 0.1989 0.4064
I 0.3170 0.3011 0.9064
I 0.6830 0.6989 0.0936
I 0.6830 0.8011 0.5936
I 0.8170 0.1989 0.0936
I 0.8170 0.3011 0.5936

Main lines, sorted by position (15 to 90 degrees two-theta):
2θ (°), d/Å, intensity
21.1, 4.212, 15.1
24.1, 3.698, 15.5
25.0, 3.567, 24.5
29.8, 2.994, 100.0
35.0, 2.567, 25.1
47.1, 1.929, 12.2

***

Starting from the PBE geometry in the Materials Project, the X-ray diffraction stick pattern of La3Si2S8I was calculated for Cu Kα.
Intensities are scaled so that the largest is 100.

Atomic structure:
a = 9.0372 Å, b = 9.0372 Å, c = 10.9876 Å
α = 97.11°, β = 97.11°, γ = 52.42°
Positions (direct):
La 0.0941 0.9059 0.7500
La 0.1810 0.4232 0.3196
La 0.4232 0.1810 0.8196
La 0.5768 0.8190 0.1804
La 0.8190 0.5768 0.6804
La 0.9059 0.0941 0.2500
Si 0.1229 0.1967 0.0302
Si 0.1967 0.1229 0.5302
Si 0.8033 0.8771 0.4698
Si 0.8771 0.8033 0.9698
S 0.0502 0.2503 0.8406
S 0.0826 0.7792 0.4565
S 0.0972 0.6128 0.8521
S 0.2116 0.3494 0.5859
S 0.2208 0.9174 0.0435
S 0.2503 0.0502 0.3406
S 0.3494 0.2116 0.0859
S 0.3872 0.9028 0.6479
S 0.6128 0.0972 0.3521
S 0.6506 0.7884 0.9141
S 0.7497 0.9498 0.6594
S 0.7792 0.0826 0.9565
S 0.7884 0.6506 0.4141
S 0.9028 0.3872 0.1479
S 0.9174 0.2208 0.5435
S 0.9498 0.7497 0.1594
I 0.4868 0.5132 0.2500
I 0.5132 0.4868 0.7500

Main lines, sorted by position (15 to 90 degrees two-theta):
2θ (°), d/Å, intensity
16.3, 5.441, 100.0
23.7, 3.747, 67.8
25.7, 3.466, 63.7
31.9, 2.807, 78.4
36.3, 2.473, 49.8
37.3, 2.413, 51.2

***

Starting from the PBE geometry in the Materials Project, the X-ray diffraction stick pattern of La2SbI2 was calculated for Cu Kα.
Intensities are scaled so that the largest is 100.

Atomic structure:
a = 4.5989 Å, b = 4.5989 Å, c = 11.1951 Å
α = 90.00°, β = 90.00°, γ = 120.00°
Positions (direct):
La 0.3333 0.6667 0.1602
La 0.6667 0.3333 0.8398
Sb 0.0000 0.0000 0.0000
I 0.3333 0.6667 0.6609
I 0.6667 0.3333 0.3391

Main lines, sorted by position (15 to 90 degrees two-theta):
2θ (°), d/Å, intensity
27.5, 3.245, 100.0
39.2, 2.299, 36.1
39.3, 2.290, 35.3
48.5, 1.876, 20.7
64.1, 1.454, 17.9
64.3, 1.449, 15.8

***

Starting from the PBE geometry in the Materials Project, the X-ray diffraction stick pattern of La4SiI5 was calculated for Cu Kα.
Intensities are scaled so that the largest is 100.

Atomic structure:
a = 10.2571 Å, b = 10.2571 Å, c = 9.2398 Å
α = 102.22°, β = 102.22°, γ = 25.00°
Positions (direct):
La 0.0014 0.0014 0.2873
La 0.3526 0.3526 0.4234
La 0.6474 0.6474 0.5766
La 0.9986 0.9986 0.7127
Si 0.5000 0.5000 0.5000
I 0.1652 0.1652 0.8373
I 0.1723 0.1723 0.3307
I 0.5000 0.5000 0.0000
I 0.8277 0.8277 0.6693
I 0.8348 0.8348 0.1627

Main lines, sorted by position (15 to 90 degrees two-theta):
2θ (°), d/Å, intensity
27.4, 3.260, 61.7
27.9, 3.201, 100.0
39.3, 2.295, 35.4
39.7, 2.272, 33.4
40.6, 2.220, 18.9
49.7, 1.835, 20.1

***

Starting from the PBE geometry in the Materials Project, the X-ray diffraction stick pattern of Sr3LaI9 was calculated for Cu Kα.
Intensities are scaled so that the largest is 100.

Atomic structure:
a = 8.4050 Å, b = 7.8023 Å, c = 33.1070 Å
α = 90.00°, β = 91.79°, γ = 90.00°
Positions (direct):
Sr 0.0000 0.0015 0.0000
Sr 0.0000 0.9985 0.5000
Sr 0.4718 0.4832 0.2604
Sr 0.4718 0.5168 0.7604
Sr 0.5103 0.4774 0.5001
Sr 0.5103 0.5226 0.0001
Sr 0.5861 0.0181 0.3826
Sr 0.5861 0.9819 0.8826
Sr 0.6206 0.0154 0.6236
Sr 0.6206 0.9846 0.1236
Sr 0.9682 0.0330 0.2594
Sr 0.9682 0.9670 0.7594
La 0.0987 0.4787 0.3853
La 0.0987 0.5213 0.8853
La 0.1228 0.4534 0.6245
La 0.1228 0.5466 0.1245
I 0.1429 0.3912 0.9863
I 0.1429 0.6088 0.4863
I 0.1481 0.3249 0.7972
I 0.1481 0.6751 0.2972
I 0.1891 0.2901 0.2007
I 0.1891 0.7099 0.7007
I 0.2853 0.1986 0.3226
I 0.2853 0.8014 0.8226
I 0.2910 0.1772 0.4410
I 0.2910 0.8228 0.9410
I 0.2987 0.1798 0.5632
I 0.2987 0.8202 0.0632
I 0.3773 0.2425 0.6824
I 0.3773 0.7575 0.1824
I 0.4343 0.3490 0.0931
I 0.4343 0.6510 0.5931
I 0.4542 0.3840 0.8949
I 0.4542 0.6160 0.3949
I 0.6290 0.1232 0.9929
I 0.6290 0.8768 0.4929
I 0.6434 0.1596 0.7918
I 0.6434 0.8404 0.2918
I 0.6913 0.2377 0.2028
I 0.6913 0.7623 0.7028
I 0.8023 0.3180 0.3241
I 0.8023 0.6820 0.8241
I 0.8055 0.3058 0.4413
I 0.8055 0.6942 0.9413
I 0.8165 0.2989 0.5634
I 0.8165 0.7011 0.0634
I 0.8870 0.2464 0.6823
I 0.8870 0.7536 0.1823
I 0.9428 0.1527 0.8962
I 0.9428 0.8473 0.3962
I 0.9479 0.1999 0.0928
I 0.9479 0.8001 0.5928

Main lines, sorted by position (15 to 90 degrees two-theta):
2θ (°), d/Å, intensity
24.1, 3.687, 49.8
25.3, 3.521, 64.6
26.8, 3.325, 93.2
28.0, 3.191, 68.6
31.5, 2.838, 100.0
34.0, 2.636, 54.4

***

Starting from the PBE geometry in the Materials Project, the X-ray diffraction stick pattern of SrLaI4 was calculated for Cu Kα.
Intensities are scaled so that the largest is 100.

Atomic structure:
a = 9.1408 Å, b = 9.1408 Å, c = 7.5685 Å
α = 108.94°, β = 108.94°, γ = 110.94°
Positions (direct):
Sr 0.1348 0.8652 0.7500
Sr 0.8652 0.1348 0.2500
La 0.4996 0.5004 0.2500
La 0.5004 0.4996 0.7500
I 0.1343 0.2572 0.7626
I 0.2003 0.5537 0.4123
I 0.2572 0.1343 0.2626
I 0.4463 0.7997 0.0877
I 0.5537 0.2003 0.9123
I 0.7428 0.8657 0.7374
I 0.7997 0.4463 0.5877
I 0.8657 0.7428 0.2374

Main lines, sorted by position (15 to 90 degrees two-theta):
2θ (°), d/Å, intensity
26.7, 3.335, 100.0
27.7, 3.219, 91.1
29.4, 3.036, 65.5
30.2, 2.962, 72.1
33.8, 2.649, 59.8
36.4, 2.466, 59.6

***

Starting from the PBE geometry in the Materials Project, the X-ray diffraction stick pattern of Li7IN2 was calculated for Cu Kα.
Intensities are scaled so that the largest is 100.

Atomic structure:
a = 7.3826 Å, b = 7.3826 Å, c = 7.3456 Å
α = 119.79°, β = 119.79°, γ = 59.94°
Positions (direct):
Li 0.0000 0.0000 0.0000
Li 0.1315 0.1315 0.9128
Li 0.2133 0.2133 0.2864
Li 0.2208 0.7402 0.7861
Li 0.2244 0.7929 0.2075
Li 0.5838 0.9483 0.0776
Li 0.5884 0.5884 0.0707
Li 0.5898 0.9342 0.4206
Li 0.7402 0.2208 0.7861
Li 0.7929 0.2244 0.2075
Li 0.7961 0.7961 0.7855
Li 0.9342 0.5898 0.4206
Li 0.9452 0.9452 0.4331
Li 0.9483 0.5838 0.0776
I 0.2823 0.2823 0.7382
I 0.5173 0.5173 0.4946
N 0.3614 0.9008 0.1108
N 0.8918 0.8918 0.1214
N 0.8984 0.8984 0.6474
N 0.9008 0.3614 0.1108

Main lines, sorted by position (15 to 90 degrees two-theta):
2θ (°), d/Å, intensity
24.1, 3.692, 100.0
28.3, 3.155, 36.0
28.4, 3.140, 70.4
37.5, 2.396, 29.1
45.2, 2.004, 23.5
49.4, 1.846, 23.4

***

Starting from the PBE geometry in the Materials Project, the X-ray diffraction stick pattern of Li7IN2 was calculated for Cu Kα.
Intensities are scaled so that the largest is 100.

Atomic structure:
a = 7.8789 Å, b = 7.8789 Å, c = 7.8789 Å
α = 60.00°, β = 60.00°, γ = 60.00°
Positions (direct):
Li 0.1107 0.1107 0.6393
Li 0.1107 0.6393 0.1107
Li 0.1107 0.6393 0.6393
Li 0.3607 0.3607 0.8893
Li 0.3607 0.8893 0.3607
Li 0.3607 0.8893 0.8893
Li 0.3750 0.3750 0.3750
Li 0.6250 0.6250 0.6250
Li 0.6393 0.1107 0.1107
Li 0.6393 0.1107 0.6393
Li 0.6393 0.6393 0.1107
Li 0.8893 0.3607 0.3607
Li 0.8893 0.3607 0.8893
Li 0.8893 0.8893 0.3607
I 0.1250 0.1250 0.1250
I 0.8750 0.8750 0.8750
N 0.0000 0.0000 0.0000
N 0.0000 0.0000 0.5000
N 0.0000 0.5000 0.0000
N 0.5000 0.0000 0.0000

Main lines, sorted by position (15 to 90 degrees two-theta):
2θ (°), d/Å, intensity
22.6, 3.939, 100.0
26.5, 3.360, 44.5
35.1, 2.556, 39.9
39.6, 2.274, 44.8
46.1, 1.970, 34.2
48.3, 1.883, 34.0

***

Starting from the PBE geometry in the Materials Project, the X-ray diffraction stick pattern of LiIO3 was calculated for Cu Kα.
Intensities are scaled so that the largest is 100.

Atomic structure:
a = 5.2308 Å, b = 5.2308 Å, c = 4.8118 Å
α = 90.00°, β = 90.00°, γ = 120.00°
Positions (direct):
Li 0.0000 0.0000 0.2500
Li 0.0000 0.0000 0.7500
I 0.3333 0.6667 0.2500
I 0.6667 0.3333 0.7500
O 0.0000 0.3298 0.0000
O 0.0000 0.6702 0.5000
O 0.3298 0.0000 0.0000
O 0.3298 0.3298 0.5000
O 0.6702 0.0000 0.5000
O 0.6702 0.6702 0.0000

Main lines, sorted by position (15 to 90 degrees two-theta):
2θ (°), d/Å, intensity
19.6, 4.530, 29.9
27.0, 3.298, 100.0
34.3, 2.615, 25.0
44.2, 2.049, 25.9
51.6, 1.771, 32.1
57.1, 1.613, 24.0

***

Starting from the PBE geometry in the Materials Project, the X-ray diffraction stick pattern of LiIO5 was calculated for Cu Kα.
Intensities are scaled so that the largest is 100.

Atomic structure:
a = 5.4911 Å, b = 5.0806 Å, c = 15.6003 Å
α = 90.00°, β = 110.47°, γ = 90.00°
Positions (direct):
Li 0.2168 0.0346 0.2216
Li 0.2168 0.4654 0.7216
Li 0.7832 0.5346 0.2784
Li 0.7832 0.9654 0.7784
I 0.3931 0.5296 0.3938
I 0.3931 0.9704 0.8938
I 0.6069 0.0296 0.1062
I 0.6069 0.4704 0.6062
O 0.1097 0.7347 0.3922
O 0.1097 0.7653 0.8922
O 0.1527 0.1756 0.8070
O 0.1527 0.3244 0.3070
O 0.3385 0.6675 0.6219
O 0.3385 0.8325 0.1219
O 0.3668 0.2046 0.9939
O 0.3668 0.2954 0.4939
O 0.4686 0.7214 0.8196
O 0.4686 0.7786 0.3196
O 0.5314 0.2214 0.6804
O 0.5314 0.2786 0.1804
O 0.6332 0.7046 0.5061
O 0.6332 0.7954 0.0061
O 0.6615 0.1675 0.8781
O 0.6615 0.3325 0.3781
O 0.8473 0.6756 0.6930
O 0.8473 0.8244 0.1930
O 0.8903 0.2347 0.1078
O 0.8903 0.2653 0.6078

Main lines, sorted by position (15 to 90 degrees two-theta):
2θ (°), d/Å, intensity
17.3, 5.140, 100.0
18.5, 4.799, 84.3
23.9, 3.729, 53.7
24.4, 3.651, 36.1
34.4, 2.610, 32.2
35.4, 2.534, 19.1